1.
Structure and calculated XRD peak list of Li10GeP2Se12 (the PBE geometry in Alexandria; Cu Kα).
Peak positions follow from Bragg's law for the DFT cell and can differ from measured ones.

Structural model:
Cell lengths 8.9284, 9.5029, 13.7772 Å; angles 91.89, 90.44, 90.19 degrees
Element x y z (fractional)
Li1 0.0000 0.0000 0.0000
Li2 0.0026 0.9847 0.2359
Li3 0.0084 0.0339 0.7681
Li4 0.0088 0.5444 0.6147
Li5 0.0158 0.4617 0.1052
Li6 0.0449 0.4870 0.3751
Li7 0.2183 0.2092 0.4995
Li8 0.2589 0.7707 0.1978
Li9 0.2743 0.7978 0.7164
Li10 0.4537 0.4862 0.3579
Li11 0.4894 0.4706 0.1052
Li12 0.5057 0.9908 0.2376
Li13 0.5237 0.5338 0.8948
Li14 0.5281 0.9949 0.9775
Li15 0.5340 0.0285 0.5648
Li16 0.5508 0.5366 0.6048
Li17 0.7266 0.2276 0.8281
Li18 0.7489 0.2368 0.2922
Li19 0.9772 0.9244 0.4878
Li20 0.9910 0.5281 0.8964
Ge1 0.2720 0.7605 0.4288
Ge2 0.7486 0.2666 0.0634
P1 0.2529 0.2240 0.2603
P2 0.2529 0.7403 0.9438
P3 0.7610 0.7854 0.7463
P4 0.7885 0.2739 0.5664
Se1 0.0041 0.2636 0.6507
Se2 0.0407 0.7593 0.3374
Se3 0.0457 0.2013 0.3501
Se4 0.0516 0.7203 0.0383
Se5 0.2532 0.0538 0.1445
Se6 0.2535 0.4426 0.2060
Se7 0.2538 0.5721 0.8268
Se8 0.2557 0.9555 0.8826
Se9 0.2565 0.9472 0.5507
Se10 0.2710 0.5405 0.5122
Se11 0.4533 0.2023 0.3578
Se12 0.4616 0.7268 0.0337
Se13 0.4831 0.7567 0.3265
Se14 0.5277 0.2803 0.9659
Se15 0.5570 0.8038 0.6549
Se16 0.5871 0.2657 0.6619
Se17 0.7519 0.0400 0.1379
Se18 0.7532 0.4542 0.1827
Se19 0.7584 0.0917 0.4603
Se20 0.7600 0.5672 0.7982
Se21 0.7732 0.9569 0.8629
Se22 0.7850 0.4765 0.4893
Se23 0.9641 0.2763 0.9615
Se24 0.9708 0.8148 0.6583

Largest 12 diffraction maxima, in order of rising 2θ, 2θ = 15–90°:
- 18.6 deg, I 17
- 22.9 deg, I 17
- 26.6 deg, I 22
- 27.4 deg, I 100
- 27.8 deg, I 40
- 28.0 deg, I 40
- 28.7 deg, I 21
- 40.4 deg, I 19
- 43.2 deg, I 15
- 43.3 deg, I 15
- 48.9 deg, I 13
- 50.3 deg, I 11

2.
Structure and calculated XRD peak list of Sm2Y7Sc2 (the PBE geometry in Alexandria; Cu Kα).
Peak positions follow from Bragg's law for the DFT cell and can differ from measured ones.

Structural model:
Cell lengths 6.5444, 6.5444, 8.5131 Å; angles 101.11, 101.11, 93.67 degrees
Element x y z (fractional)
Sm1 0.1820 0.8180 0.0000
Sm2 0.8180 0.1820 0.0000
Y1 0.0279 0.3932 0.6844
Y2 0.3413 0.3413 0.0815
Y3 0.3932 0.0279 0.6844
Y4 0.5000 0.5000 0.5000
Y5 0.6068 0.9721 0.3156
Y6 0.6587 0.6587 0.9185
Y7 0.9721 0.6068 0.3156
Sc1 0.1171 0.1171 0.3378
Sc2 0.8829 0.8829 0.6622

Largest 12 diffraction maxima, in order of rising 2θ, 2θ = 15–90°:
- 25.5 deg, I 22
- 26.0 deg, I 17
- 27.8 deg, I 18
- 29.9 deg, I 32
- 31.5 deg, I 43
- 31.8 deg, I 40
- 32.2 deg, I 32
- 32.9 deg, I 100
- 34.3 deg, I 20
- 35.5 deg, I 27
- 52.4 deg, I 20
- 57.1 deg, I 17

3.
Structure and calculated XRD peak list of Ti5Ru6W (the PBE geometry in Alexandria; Cu Kα).
Peak positions follow from Bragg's law for the DFT cell and can differ from measured ones.

Structural model:
Cell lengths 7.5779, 7.5779, 7.5779 Å; angles 146.54, 132.04, 59.74 degrees
Element x y z (fractional)
Ti1 0.0000 0.0000 0.0000
Ti2 0.1683 0.6683 0.5000
Ti3 0.3359 0.3359 0.0000
Ti4 0.6641 0.6641 0.0000
Ti5 0.8317 0.3317 0.5000
Ru1 0.0819 0.8331 0.2488
Ru2 0.2463 0.5000 0.7463
Ru3 0.4157 0.1669 0.2488
Ru4 0.5843 0.8331 0.7512
Ru5 0.7537 0.5000 0.2537
Ru6 0.9181 0.1669 0.7512
W1 0.5000 0.0000 0.5000

Largest 12 diffraction maxima, in order of rising 2θ, 2θ = 15–90°:
- 15.9 deg, I 6
- 25.0 deg, I 5
- 28.5 deg, I 4
- 28.9 deg, I 4
- 41.2 deg, I 20
- 41.4 deg, I 100
- 59.8 deg, I 13
- 60.1 deg, I 6
- 75.2 deg, I 13
- 75.5 deg, I 19
- 75.6 deg, I 6
- 89.9 deg, I 10

4.
Structure and calculated XRD peak list of Er2PaPd2S6 (the PBE geometry in Alexandria; Cu Kα).
Peak positions follow from Bragg's law for the DFT cell and can differ from measured ones.

Structural model:
Cell lengths 6.5610, 6.5610, 6.2947 Å; angles 90.00, 90.00, 120.00 degrees
Element x y z (fractional)
Er1 0.3333 0.6667 0.0000
Er2 0.6667 0.3333 0.0000
Pa1 0.0000 0.0000 0.5000
Pd1 0.3333 0.6667 0.5000
Pd2 0.6667 0.3333 0.5000
S1 0.0000 0.3331 0.7472
S2 0.0000 0.6669 0.2528
S3 0.3331 0.0000 0.7472
S4 0.3331 0.3331 0.2528
S5 0.6669 0.0000 0.2528
S6 0.6669 0.6669 0.7472

Largest 12 diffraction maxima, in order of rising 2θ, 2θ = 15–90°:
- 21.1 deg, I 52
- 27.2 deg, I 81
- 28.4 deg, I 17
- 34.6 deg, I 15
- 39.7 deg, I 100
- 44.6 deg, I 15
- 48.0 deg, I 35
- 56.7 deg, I 16
- 64.0 deg, I 24
- 65.8 deg, I 14
- 79.1 deg, I 16
- 83.9 deg, I 23